Structure and computed XRD peak list of Tl8Tc (the GGA-PBE geometry in Alexandria; Cu Kα, 1.54184 Å).
Lines closer than 0.1° are merged.

Atomic structure:
Cell lengths 11.530, 11.530, 3.825 Å; angles 90.00, 90.00, 90.00 degrees
Space group I4/mmm (No. 139)
Asymmetric unit:
Tl: 0.000 0.327 0.000 [8 per cell]
Tl: 0.143 0.143 0.500 [8 per cell]
Tc: 0.000 0.000 0.000 [2 per cell]

Main lines, in order of rising 2θ (15 to 90 degrees two-theta):
Position (°2θ)	intensity	index
33.01	100	3 0 1
47.30	9	6 0 0
47.54	7	0 0 2
58.91	18	6 3 1
59.06	12	3 3 2
69.32	6	6 0 2